Theoretical powder X-ray diffraction pattern of SnS2O4 for Cu Kα (weighted mean of Kα1 and Kα2), from a structure optimized by DFT (PBE).
Peak positions follow from Bragg's law for the DFT cell and can differ from measured ones.

Top 6 peaks for 15 to 90 degrees two-theta, most intense first:
- 2θ 27.03, I 100.0
- 2θ 20.09, I 97.9
- 2θ 21.58, I 96.0
- 2θ 26.89, I 90.0
- 2θ 29.49, I 74.3
- 2θ 24.40, I 62.4

Cell and atoms:
```
data_SnS2O4
_chemical_formula_sum 'Sn4 S8 O16'
_symmetry_space_group_name_H-M 'P 1 21/c 1'
_symmetry_Int_Tables_number 14
_cell_length_a 7.4196
_cell_length_b 7.7424
_cell_length_c 11.2323
_cell_angle_alpha 90.00
_cell_angle_beta 120.04
_cell_angle_gamma 90.00
loop_
_symmetry_equiv_pos_as_xyz
'x,y,z'
'-x,-y,-z'
'-x,y+1/2,-z+1/2'
'x,-y+1/2,z+1/2'
loop_
_atom_site_label
_atom_site_fract_x
_atom_site_fract_y
_atom_site_fract_z
Sn1 0.0952 0.2418 0.4161
S1 0.3086 0.6806 0.0092
S2 0.3783 0.5173 0.2127
O1 0.1286 0.7137 0.5010
O2 0.2062 0.6011 0.2300
O3 0.2288 0.5277 0.9100
O4 0.3077 0.1577 0.6406
```